Computed powder diffractogram
Compound: Sr3La5
Radiation: Cu Kα, 1.54184 Å
Structure: a crystal structure in Alexandria, relaxed with PBE
No peak broadening, texture or thermal motion is included.

Crystal structure
a b c (Å): 7.892 7.892 5.376
angles (deg): 90.00 90.00 92.74
Fractional coordinates of all 8 atoms:
Sr  0.000  0.000  0.000
Sr  0.251  0.251  0.500
Sr  0.749  0.749  0.500
La  0.000  0.500  0.000
La  0.265  0.735  0.500
La  0.500  0.000  0.000
La  0.500  0.500  0.000
La  0.735  0.265  0.500

Main lines, by angle (5 to 70 degrees two-theta):
| d [Å] | 2θ (°) | intensity |
| --- | --- | --- |
| 3.179 | 28.07 | 100 |
| 2.856 | 31.32 | 18 |
| 2.723 | 32.90 | 17 |
| 2.688 | 33.34 | 16 |
| 1.705 | 53.77 | 15 |
| 1.647 | 55.83 | 14 |